1.
Ba8Sr2Tl: theoretical powder XRD pattern (a wavelength of 1.5418 Å), based on a DFT-relaxed cell (GGA-PBE, Alexandria).
Peak positions follow from Bragg's law for the DFT cell and can differ from measured ones.

Main lines, by intensity (2θ from 10° to 90°):
hkl 1 1 2, d = 3.458 Å, 25.76°, intensity 100; hkl 5 1 -1, d = 3.474 Å, 25.64°, intensity 85; hkl 0 2 0, d = 3.281 Å, 27.18°, intensity 52; hkl 1 3 2, d = 1.928 Å, 47.14°, intensity 36; hkl 6 0 1, d = 3.361 Å, 26.52°, intensity 33; hkl 6 2 1, d = 2.348 Å, 38.34°, intensity 25; hkl 4 0 -3, d = 2.569 Å, 34.93°, intensity 18; hkl 5 1 -2, d = 2.860 Å, 31.28°, intensity 17; hkl 0 0 1, d = 8.369 Å, 10.57°, intensity 14; hkl 4 2 -3, d = 2.023 Å, 44.81°, intensity 13; hkl 5 1 0, d = 3.728 Å, 23.87°, intensity 12; hkl 15 1 -2, d = 1.415 Å, 66.00°, intensity 10

Structural model:
a b c (Å): 22.694 6.562 8.387
angles (deg): 90.00 93.70 90.00
Space group C2/m (No. 12)
Symmetry-distinct sites (fractional):
Ba (0.030, 0.000, 0.271) x4
Ba (0.086, 0.500, 0.895) x4
Ba (0.151, 0.500, 0.397) x4
Ba (0.162, 0.000, 0.676) x4
Sr (0.222, 0.000, 0.153) x4
Tl (0.000, 0.500, 0.500) x2

2.
KPrPbCl6: theoretical powder XRD pattern (a wavelength of 1.5418 Å), based on a DFT-relaxed cell (GGA-PBE, Alexandria).
Peak positions follow from Bragg's law for the DFT cell and can differ from measured ones.

Main lines, by intensity (2θ from 10° to 90°):
hkl 1 1 0, d = 4.862 Å, 18.25°, intensity 100; hkl 2 1 3, d = 2.534 Å, 35.43°, intensity 87; hkl 1 0 3, d = 3.748 Å, 23.74°, intensity 63; hkl 1 0 1, d = 6.119 Å, 14.48°, intensity 44; hkl 3 0 3, d = 2.040 Å, 44.42°, intensity 36; hkl 2 2 0, d = 2.431 Å, 36.98°, intensity 27; hkl 1 1 6, d = 2.031 Å, 44.61°, intensity 20; hkl 1 1 3, d = 3.291 Å, 27.09°, intensity 17; hkl 3 1 0, d = 2.174 Å, 41.53°, intensity 16; hkl 0 0 2, d = 6.706 Å, 13.20°, intensity 15; hkl 2 2 6, d = 1.646 Å, 55.87°, intensity 15; hkl 4 1 3, d = 1.563 Å, 59.13°, intensity 15

Structural model:
a b c (Å): 6.876 6.876 13.413
angles (deg): 90.00 90.00 90.00
Space group P4_2nm (No. 102)
Symmetry-distinct sites (fractional):
K (0.000, 0.000, 0.000) x2
Pr (0.000, 0.000, 0.334) x2
Pb (0.000, 0.000, 0.668) x2
Cl (0.182, 0.182, 0.495) x4
Cl (0.200, 0.200, 0.186) x4
Cl (0.214, 0.214, 0.823) x4

3.
Er4Tm2Tl3H2: theoretical powder XRD pattern (a wavelength of 1.5418 Å), based on a DFT-relaxed cell (GGA-PBE, Alexandria).
Peak positions follow from Bragg's law for the DFT cell and can differ from measured ones.

Main lines, by intensity (2θ from 10° to 90°):
hkl 1 1 6, d = 2.563 Å, 35.02°, intensity 100; hkl 2 0 0, d = 2.343 Å, 38.42°, intensity 53; hkl 1 1 2, d = 3.196 Å, 27.92°, intensity 37; hkl 3 1 6, d = 1.391 Å, 67.30°, intensity 31; hkl 2 2 0, d = 1.656 Å, 55.47°, intensity 20; hkl 1 1 4, d = 2.908 Å, 30.75°, intensity 19; hkl 1 0 7, d = 2.786 Å, 32.13°, intensity 17; hkl 1 0 1, d = 4.601 Å, 19.29°, intensity 16; hkl 2 0 10, d = 1.685 Å, 54.45°, intensity 13; hkl 2 0 12, d = 1.530 Å, 60.50°, intensity 12; hkl 0 0 8, d = 3.032 Å, 29.46°, intensity 10; hkl 2 0 8, d = 1.854 Å, 49.14°, intensity 10

Structural model:
a b c (Å): 4.686 4.686 24.258
angles (deg): 90.00 90.00 90.00
Space group I4/mmm (No. 139)
Symmetry-distinct sites (fractional):
Er (0.000, 0.500, 0.085) x8
Tm (0.000, 0.000, 0.197) x4
Tl (0.000, 0.000, 0.325) x4
Tl (0.000, 0.000, 0.500) x2
H (0.000, 0.000, 0.102) x4

4.
Ni12Sn3Te: theoretical powder XRD pattern (a wavelength of 1.5418 Å), based on a DFT-relaxed cell (GGA-PBE, Alexandria).
Peak positions follow from Bragg's law for the DFT cell and can differ from measured ones.

Main lines, by intensity (2θ from 10° to 90°):
hkl 1 1 4, d = 2.157 Å, 41.88°, intensity 100; hkl 2 0 0, d = 1.870 Å, 48.70°, intensity 32; hkl 3 1 4, d = 1.127 Å, 86.29°, intensity 24; hkl 2 0 8, d = 1.320 Å, 71.45°, intensity 19; hkl 0 0 8, d = 1.865 Å, 48.85°, intensity 16; hkl 1 1 12, d = 1.125 Å, 86.52°, intensity 12; hkl 1 0 0, d = 3.736 Å, 23.82°, intensity 10; hkl 2 2 0, d = 1.322 Å, 71.33°, intensity 10; hkl 1 1 0, d = 2.642 Å, 33.93°, intensity 9; hkl 2 1 4, d = 1.525 Å, 60.72°, intensity 4; hkl 2 1 0, d = 1.672 Å, 54.91°, intensity 3; hkl 1 0 8, d = 1.669 Å, 55.03°, intensity 2

Structural model:
a b c (Å): 3.740 3.740 14.916
angles (deg): 90.00 90.00 90.00
Space group P4/mmm (No. 123)
Symmetry-distinct sites (fractional):
Ni (0.000, 0.000, 0.000) x1
Ni (0.000, 0.000, 0.248) x2
Ni (0.000, 0.000, 0.500) x1
Ni (0.000, 0.500, 0.125) x4
Ni (0.000, 0.500, 0.375) x4
Sn (0.500, 0.500, 0.252) x2
Sn (0.500, 0.500, 0.500) x1
Te (0.500, 0.500, 0.000) x1